For MgMn6O8F4, a GGA+U-relaxed structure gives the simulated X-ray powder pattern in this record (copper Kα).
Lines closer than 0.1° are merged.

Crystal structure
Unit cell a=5.3105 b=5.7350 c=7.6647 alpha=82.40 beta=83.15 gamma=80.22
Element x y z (fractional)
Mg 0.0000 0.0000 0.0000
Mn 0.0033 0.9989 0.4998
Mn 0.0197 0.3648 0.1931
Mn 0.4958 0.1469 0.8180
Mn 0.5035 0.4990 0.4998
Mn 0.5040 0.8447 0.1782
Mn 0.9874 0.6329 0.8065
O 0.1281 0.9170 0.7386
O 0.2979 0.4368 0.7251
O 0.3019 0.7934 0.3994
O 0.3037 0.1325 0.0552
O 0.7010 0.8627 0.9426
O 0.7041 0.2039 0.6003
O 0.7086 0.5611 0.2742
O 0.8795 0.0821 0.2617
F 0.1645 0.6508 0.0708
F 0.2267 0.2964 0.4045
F 0.7811 0.7015 0.5943
F 0.8423 0.3485 0.9297

Largest 6 diffraction maxima, in order of rising 2θ, 2θ from 5° to 70°:
- 22.66°, rel. 100.0
- 27.70°, rel. 64.1
- 34.59°, rel. 24.8
- 34.75°, rel. 25.0
- 46.28°, rel. 19.3
- 53.03°, rel. 17.4

***

For Li2VF6, a GGA+U-relaxed structure gives the simulated X-ray powder pattern in this record (copper Kα).
Lines closer than 0.1° are merged.

Crystal structure
Unit cell a=5.5568 b=5.5568 c=8.6152 alpha=90.00 beta=90.00 gamma=121.50
Element x y z (fractional)
Li 0.0679 0.9321 0.5000
Li 0.2303 0.7697 0.9919
Li 0.7697 0.2303 0.4919
Li 0.9321 0.0679 0.0000
V 0.3842 0.6158 0.2823
V 0.6158 0.3842 0.7823
F 0.1091 0.4218 0.1216
F 0.1497 0.3349 0.4329
F 0.1960 0.8040 0.3285
F 0.3349 0.1497 0.9329
F 0.4218 0.1091 0.6216
F 0.4358 0.5642 0.7441
F 0.5642 0.4358 0.2441
F 0.5782 0.8909 0.1216
F 0.6651 0.8503 0.4329
F 0.8040 0.1960 0.8285
F 0.8503 0.6651 0.9329
F 0.8909 0.5782 0.6216

Largest 6 diffraction maxima, in order of rising 2θ, 2θ from 5° to 70°:
- 18.73°, rel. 62.4
- 21.03°, rel. 100.0
- 21.40°, rel. 89.1
- 27.99°, rel. 70.2
- 39.22°, rel. 46.3
- 49.91°, rel. 49.4

***

For Li4Mn5Cr3O16, a GGA+U-relaxed structure gives the simulated X-ray powder pattern in this record (copper Kα).
Lines closer than 0.1° are merged.

Crystal structure
Unit cell a=5.8781 b=5.8781 c=9.5020 alpha=90.95 beta=90.95 gamma=59.71
Element x y z (fractional)
Li 0.0000 0.0000 0.0000
Li 0.0002 0.0002 0.4978
Li 0.3290 0.3290 0.9020
Li 0.6643 0.6643 0.3978
Mn 0.1702 0.1702 0.2173
Mn 0.3347 0.8280 0.7185
Mn 0.3358 0.3358 0.4891
Mn 0.6679 0.6679 0.9932
Mn 0.8280 0.3347 0.7185
Cr 0.1724 0.6606 0.2160
Cr 0.6606 0.1724 0.2160
Cr 0.8283 0.8283 0.7179
O 0.0027 0.0027 0.8133
O 0.0073 0.0073 0.3119
O 0.0410 0.4769 0.3432
O 0.1604 0.1604 0.6118
O 0.1643 0.6744 0.6033
O 0.3260 0.3260 0.1092
O 0.3293 0.8402 0.1011
O 0.4769 0.0410 0.3432
O 0.4850 0.4850 0.3383
O 0.5139 0.9560 0.8444
O 0.5172 0.5172 0.8426
O 0.6584 0.6584 0.6129
O 0.6744 0.1643 0.6033
O 0.8371 0.8371 0.0975
O 0.8402 0.3293 0.1011
O 0.9560 0.5139 0.8444

Largest 6 diffraction maxima, in order of rising 2θ, 2θ from 5° to 70°:
- 18.68°, rel. 100.0
- 19.75°, rel. 58.2
- 19.92°, rel. 77.9
- 36.72°, rel. 42.2
- 46.08°, rel. 47.9
- 63.29°, rel. 44.4

***

For KMn6O12, a GGA+U-relaxed structure gives the simulated X-ray powder pattern in this record (copper Kα).
Lines closer than 0.1° are merged.

Crystal structure
Unit cell a=8.3409 b=8.3409 c=8.3409 alpha=106.39 beta=106.39 gamma=115.83
Element x y z (fractional)
K 0.2104 0.2104 0.0000
K 0.7896 0.7896 0.0000
Mn 0.0153 0.5008 0.1833
Mn 0.1664 0.3493 0.5157
Mn 0.1680 0.9847 0.4855
Mn 0.3175 0.8320 0.8167
Mn 0.3493 0.8336 0.1830
Mn 0.4992 0.6825 0.5145
Mn 0.5008 0.3175 0.4855
Mn 0.6507 0.1664 0.8171
Mn 0.6825 0.1680 0.1833
Mn 0.8320 0.0153 0.5145
Mn 0.8336 0.6507 0.4843
Mn 0.9847 0.4992 0.8167
O 0.1243 0.8343 0.6249
O 0.1287 0.1775 0.6405
O 0.1546 0.7972 0.9519
O 0.1651 0.5426 0.7077
O 0.1657 0.7906 0.2900
O 0.1775 0.5370 0.0488
O 0.2028 0.1546 0.3574
O 0.2094 0.4994 0.3751
O 0.4574 0.1651 0.6225
O 0.4630 0.5118 0.6405
O 0.4882 0.1287 0.9512
O 0.4994 0.1243 0.2900
O 0.5006 0.8757 0.7100
O 0.5118 0.8713 0.0488
O 0.5370 0.4882 0.3595
O 0.5426 0.8349 0.3775
O 0.7906 0.5006 0.6249
O 0.7972 0.8454 0.6426
O 0.8225 0.4630 0.9512
O 0.8343 0.2094 0.7100
O 0.8349 0.4574 0.2923
O 0.8454 0.2028 0.0481
O 0.8713 0.8225 0.3595
O 0.8757 0.1657 0.3751

Largest 6 diffraction maxima, in order of rising 2θ, 2θ from 5° to 70°:
- 12.53°, rel. 62.2
- 17.75°, rel. 65.2
- 28.24°, rel. 100.0
- 36.46°, rel. 82.8
- 48.59°, rel. 46.2
- 58.76°, rel. 50.4

***

For Ba3Mo2N2O6, a GGA+U-relaxed structure gives the simulated X-ray powder pattern in this record (copper Kα).
Lines closer than 0.1° are merged.

Crystal structure
Unit cell a=8.0270 b=8.0270 c=8.0270 alpha=44.62 beta=44.62 gamma=44.62
Element x y z (fractional)
Ba 0.0000 0.0000 0.0000
Ba 0.2016 0.2016 0.2016
Ba 0.7984 0.7984 0.7984
Mo 0.4065 0.4065 0.4065
Mo 0.5935 0.5935 0.5935
N 0.3258 0.3258 0.3258
N 0.6742 0.6742 0.6742
O 0.2319 0.7323 0.7323
O 0.2677 0.2677 0.7681
O 0.2677 0.7681 0.2677
O 0.7323 0.2319 0.7323
O 0.7323 0.7323 0.2319
O 0.7681 0.2677 0.2677

Largest 6 diffraction maxima, in order of rising 2θ, 2θ from 5° to 70°:
- 26.63°, rel. 100.0
- 29.31°, rel. 89.3
- 40.01°, rel. 42.7
- 45.28°, rel. 26.6
- 50.37°, rel. 34.7
- 63.41°, rel. 19.2

***

For Li2MnF4, a GGA+U-relaxed structure gives the simulated X-ray powder pattern in this record (copper Kα).
Lines closer than 0.1° are merged.

Crystal structure
Unit cell a=6.1636 b=5.5320 c=5.8387 alpha=90.00 beta=116.85 gamma=90.00
Element x y z (fractional)
Li 0.0424 0.2152 0.4381
Li 0.0424 0.2848 0.9381
Li 0.9576 0.7152 0.0619
Li 0.9576 0.7848 0.5619
Mn 0.5000 0.0000 0.5000
Mn 0.5000 0.5000 0.0000
F 0.1193 0.6117 0.8663
F 0.1193 0.8883 0.3663
F 0.3702 0.2143 0.1614
F 0.3702 0.2857 0.6614
F 0.6298 0.7143 0.3386
F 0.6298 0.7857 0.8386
F 0.8807 0.1117 0.6337
F 0.8807 0.3883 0.1337

Largest 6 diffraction maxima, in order of rising 2θ, 2θ from 5° to 70°:
- 16.12°, rel. 42.4
- 23.46°, rel. 100.0
- 23.72°, rel. 57.7
- 36.49°, rel. 18.9
- 45.16°, rel. 27.7
- 47.46°, rel. 20.6

***

For Li2VOF4, a GGA+U-relaxed structure gives the simulated X-ray powder pattern in this record (copper Kα).
Lines closer than 0.1° are merged.

Crystal structure
Unit cell a=3.7047 b=5.3142 c=10.2038 alpha=89.95 beta=89.94 gamma=70.05
Element x y z (fractional)
Li 0.0000 0.0000 0.0000
Li 0.0372 0.9046 0.3265
Li 0.6799 0.6377 0.8265
Li 0.7175 0.5424 0.5001
V 0.0391 0.9957 0.6364
V 0.6784 0.5474 0.1366
O 0.1997 0.5873 0.1452
O 0.5177 0.9557 0.6448
F 0.0849 0.8176 0.8144
F 0.1571 0.6623 0.5291
F 0.5605 0.8807 0.0285
F 0.6319 0.7255 0.3147
F 0.8064 0.3779 0.9684
F 0.8115 0.3514 0.7008
F 0.9069 0.1923 0.2015
F 0.9138 0.1646 0.4678

Largest 6 diffraction maxima, in order of rising 2θ, 2θ from 5° to 70°:
- 17.38°, rel. 92.4
- 19.79°, rel. 100.0
- 25.71°, rel. 51.6
- 27.06°, rel. 41.1
- 31.83°, rel. 37.2
- 49.19°, rel. 30.9